# 1
The following is a calculated X-ray diffraction stick pattern of AcSn2Pt3. It was derived from a cell relaxed with PBE, using Cu Kα X-rays.
Neutral-atom scattering factors, no anomalous dispersion.

a b c (Å): 9.037 9.037 11.207
angles (deg): 107.48 107.48 27.72
Sites, in units of the cell vectors:
1 Ac 0.000 0.000 0.000
2 Ac 0.149 0.149 0.700
3 Ac 0.851 0.851 0.300
4 Sn 0.207 0.207 0.085
5 Sn 0.333 0.333 0.551
6 Sn 0.500 0.500 0.249
7 Sn 0.500 0.500 0.751
8 Sn 0.667 0.667 0.449
9 Sn 0.793 0.793 0.915
10 Pt 0.059 0.059 0.396
11 Pt 0.213 0.213 0.333
12 Pt 0.358 0.358 0.073
13 Pt 0.365 0.365 0.825
14 Pt 0.500 0.500 0.500
15 Pt 0.635 0.635 0.175
16 Pt 0.642 0.642 0.927
17 Pt 0.787 0.787 0.667
18 Pt 0.941 0.941 0.604

Main lines, by angle (15 to 90 degrees two-theta):
| d [Å] | I (rel.) |
| --- | --- |
| 3.087 | 35 |
| 2.820 | 100 |
| 2.726 | 87 |
| 2.656 | 29 |
| 2.336 | 33 |
| 2.315 | 42 |
| 2.165 | 79 |
| 2.088 | 34 |
| 1.986 | 32 |
| 1.581 | 32 |



# 2
The following is a calculated X-ray diffraction stick pattern of Ce2ScOs. It was derived from a cell relaxed with PBE, using Cu Kα X-rays.
Neutral-atom scattering factors, no anomalous dispersion.

a b c (Å): 5.622 5.622 9.727
angles (deg): 90.00 90.00 141.40
Sites, in units of the cell vectors:
1 Ce 0.134 0.866 0.560
2 Ce 0.134 0.866 0.940
3 Ce 0.866 0.134 0.060
4 Ce 0.866 0.134 0.440
5 Sc 0.419 0.581 0.750
6 Sc 0.581 0.419 0.250
7 Os 0.283 0.717 0.250
8 Os 0.717 0.283 0.750

Main lines, by angle (15 to 90 degrees two-theta):
| d [Å] | I (rel.) |
| --- | --- |
| 5.306 | 48 |
| 4.658 | 43 |
| 2.845 | 61 |
| 2.767 | 29 |
| 2.560 | 27 |
| 2.478 | 61 |
| 2.381 | 100 |
| 2.329 | 36 |
| 2.267 | 52 |
| 1.549 | 26 |



# 3
The following is a calculated X-ray diffraction stick pattern of TiAg2Pd8. It was derived from a cell relaxed with PBE, using Cu Kα X-rays.
Neutral-atom scattering factors, no anomalous dispersion.

a b c (Å): 6.669 6.669 4.304
angles (deg): 90.00 90.00 105.28
Sites, in units of the cell vectors:
1 Ti 0.000 0.000 0.000
2 Ag 0.376 0.624 0.500
3 Ag 0.624 0.376 0.500
4 Pd 0.037 0.297 0.500
5 Pd 0.234 0.766 0.000
6 Pd 0.297 0.037 0.500
7 Pd 0.321 0.321 0.000
8 Pd 0.679 0.679 0.000
9 Pd 0.703 0.963 0.500
10 Pd 0.766 0.234 0.000
11 Pd 0.963 0.703 0.500

Main lines, by angle (15 to 90 degrees two-theta):
| d [Å] | I (rel.) |
| --- | --- |
| 3.217 | 18 |
| 2.577 | 24 |
| 2.257 | 100 |
| 2.235 | 84 |
| 2.152 | 45 |
| 2.145 | 32 |
| 1.667 | 19 |
| 1.519 | 21 |
| 1.262 | 24 |
| 1.158 | 22 |



# 4
The following is a calculated X-ray diffraction stick pattern of TbPm12Rh7. It was derived from a cell relaxed with PBE, using Cu Kα X-rays.
Neutral-atom scattering factors, no anomalous dispersion.

a b c (Å): 8.947 8.947 8.947
angles (deg): 107.07 107.07 107.07
Sites, in units of the cell vectors:
1 Tb 0.000 0.000 0.000
2 Pm 0.076 0.692 0.224
3 Pm 0.157 0.381 0.461
4 Pm 0.224 0.076 0.692
5 Pm 0.308 0.776 0.924
6 Pm 0.381 0.461 0.157
7 Pm 0.461 0.157 0.381
8 Pm 0.539 0.843 0.619
9 Pm 0.619 0.539 0.843
10 Pm 0.692 0.224 0.076
11 Pm 0.776 0.924 0.308
12 Pm 0.843 0.619 0.539
13 Pm 0.924 0.308 0.776
14 Rh 0.037 0.352 0.121
15 Rh 0.121 0.037 0.352
16 Rh 0.352 0.121 0.037
17 Rh 0.500 0.500 0.500
18 Rh 0.648 0.879 0.963
19 Rh 0.879 0.963 0.648
20 Rh 0.963 0.648 0.879

Main lines, by angle (15 to 90 degrees two-theta):
| d [Å] | I (rel.) |
| --- | --- |
| 3.319 | 10 |
| 3.265 | 29 |
| 2.839 | 100 |
| 2.020 | 38 |
| 1.996 | 36 |
| 1.633 | 19 |
| 1.420 | 12 |
| 1.276 | 16 |
| 1.264 | 16 |
| 1.157 | 12 |